Starting from a structure optimized by DFT (GGA+U), the powder XRD pattern of K4V3F10 was computed for copper Kα.

Peak list (12 most intense, 5° ≤ 2θ ≤ 70°, low angle first)
two_theta	intensity
5.85	21
17.62	16
21.28	19
29.62	100
29.97	72
38.47	24
41.87	38
42.90	85
52.34	20
53.00	35
61.49	40
62.28	23

```
17
Lattice="-2.1081 2.1081 15.1043 2.1081 -2.1081 15.1043 2.1081 2.1081 -15.1043" Properties=species:S:1:pos:R:3 pbc="T T T"
K 0.0000 0.0000 2.0945
K 0.0000 0.0000 6.1517
K 0.0000 0.0000 24.0569
K 0.0000 0.0000 28.1141
V 0.0000 0.0000 10.8650
V 0.0000 0.0000 15.1043
V 0.0000 0.0000 19.3436
F 2.1081 0.0000 0.0000
F 2.1081 0.0000 4.2072
F 0.0000 0.0000 8.7586
F 2.1081 0.0000 10.8971
F 0.0000 0.0000 12.9909
F 0.0000 2.1081 0.0000
F 0.0000 0.0000 17.2177
F 0.0000 2.1081 4.2072
F 0.0000 0.0000 21.4501
F 0.0000 2.1081 10.8971
```